Entry 1:
The following is a simulated powder diffractogram of Pm7InCo2. It was derived from a DFT-relaxed cell (GGA-PBE, Alexandria), using Cu Kα (λ = 1.5418 Å).
Lines closer than 0.1° are merged.

Peak list (10 most intense, 10 to 90 degrees two-theta, in order of falling intensity)
2θ 35.5, I = 100.0, (0 0 2); 2θ 28.2, I = 88.1, (1 3 1); 2θ 32.8, I = 64.2, (2 4 0); 2θ 34.9, I = 58.7, (3 1 1); 2θ 26.3, I = 46.6, (2 0 1); 2θ 17.5, I = 44.4, (0 0 1); 2θ 31.7, I = 43.8, (0 4 1); 2θ 49.1, I = 41.1, (2 4 2); 2θ 30.0, I = 33.2, (3 1 0); 2θ 57.2, I = 31.7, (5 3 1)

Atomic structure:
Unit cell a=9.165 b=13.589 c=5.054 alpha=90.00 beta=90.00 gamma=90.00
Space group Cmmm (No. 65)
Symmetry-distinct sites (fractional):
1 Pm 0.000 0.000 0.000 x2
2 Pm 0.000 0.208 0.500 x4
3 Pm 0.182 0.369 0.000 x8
4 In 0.000 0.500 0.500 x2
5 Co 0.000 0.201 0.000 x4

---

Entry 2:
The following is a simulated powder diffractogram of CuSi4Te. It was derived from a DFT-relaxed cell (GGA-PBE, Alexandria), using Cu Kα (λ = 1.5418 Å).
Lines closer than 0.1° are merged.

Peak list (10 most intense, 10 to 90 degrees two-theta, in order of falling intensity)
2θ 40.2, I = 100.0, (3 1 1); 2θ 34.1, I = 76.4, (2 2 0); 2θ 20.7, I = 34.3, (1 1 1); 2θ 65.1, I = 31.0, (5 1 1); 2θ 61.0, I = 27.1, (4 2 2); 2θ 71.8, I = 20.9, (4 4 0); 2θ 42.1, I = 11.9, (2 2 2); 2θ 81.9, I = 11.3, (6 2 0); 2θ 85.6, I = 10.9, (5 3 3); 2θ 53.7, I = 9.0, (3 3 1)

Atomic structure:
Unit cell a=7.442 b=7.442 c=7.442 alpha=90.00 beta=90.00 gamma=90.00
Space group F-43m (No. 216)
Symmetry-distinct sites (fractional):
1 Cu 0.000 0.000 0.000 x4
2 Si 0.127 0.127 0.627 x16
3 Te 0.250 0.250 0.250 x4

---

Entry 3:
The following is a simulated powder diffractogram of InIr5. It was derived from a DFT-relaxed cell (GGA-PBE, Alexandria), using Cu Kα (λ = 1.5418 Å).
Lines closer than 0.1° are merged.

Peak list (10 most intense, 10 to 90 degrees two-theta, in order of falling intensity)
2θ 42.1, I = 100.0, (1 1 3); 2θ 40.1, I = 26.0, (2 0 0); 2θ 36.9, I = 24.4, (0 0 6); 2θ 80.5, I = 19.9, (2 2 0); 2θ 74.2, I = 19.1, (3 1 3); 2θ 66.4, I = 16.9, (0 2 0); 2θ 55.6, I = 15.1, (2 0 6); 2θ 81.8, I = 9.4, (1 2 6); 2θ 12.1, I = 5.1, (0 0 2); 2θ 81.9, I = 4.8, (1 0 12)

Atomic structure:
Unit cell a=4.501 b=2.818 c=14.619 alpha=90.00 beta=90.00 gamma=90.00
Space group Amm2 (No. 38)
Symmetry-distinct sites (fractional):
1 In 0.000 0.000 0.000 x2
2 Ir 0.000 0.000 0.330 x2
3 Ir 0.000 0.000 0.674 x2
4 Ir 0.500 0.000 0.220 x2
5 Ir 0.500 0.000 0.562 x2
6 Ir 0.500 0.000 0.883 x2

---

Entry 4:
The following is a simulated powder diffractogram of Ba6MgHg5. It was derived from a DFT-relaxed cell (GGA-PBE, Alexandria), using Cu Kα (λ = 1.5418 Å).
Lines closer than 0.1° are merged.

Peak list (10 most intense, 10 to 90 degrees two-theta, in order of falling intensity)
2θ 29.9, I = 100.0, (2 0 0); 2θ 53.0, I = 39.6, (3 2 3); 2θ 42.8, I = 18.7, (0 4 0); 2θ 70.4, I = 16.8, (4 0 6); 2θ 86.0, I = 16.6, (3 6 3); 2θ 62.1, I = 12.3, (4 0 0); 2θ 78.3, I = 4.2, (4 4 0); 2θ 86.1, I = 3.6, (5 2 3); 2θ 11.6, I = 2.6, (0 1 1); 2θ 18.2, I = 1.9, (1 1 0)

Atomic structure:
Unit cell a=5.977 b=8.458 c=17.956 alpha=90.00 beta=90.00 gamma=90.00
Space group Immm (No. 71)
Symmetry-distinct sites (fractional):
1 Ba 0.000 0.242 0.000 x4
2 Ba 0.000 0.254 0.330 x8
3 Mg 0.000 0.000 0.500 x2
4 Hg 0.000 0.000 0.167 x4
5 Hg 0.000 0.500 0.158 x4
6 Hg 0.000 0.500 0.500 x2

---

Entry 5:
The following is a simulated powder diffractogram of CsSb2N. It was derived from a DFT-relaxed cell (GGA-PBE, Alexandria), using Cu Kα (λ = 1.5418 Å).
Lines closer than 0.1° are merged.

Peak list (10 most intense, 10 to 90 degrees two-theta, in order of falling intensity)
2θ 27.2, I = 100.0, (0 1 -2); 2θ 26.7, I = 51.9, (0 1 1); 2θ 28.3, I = 46.6, (1 0 1); 2θ 38.5, I = 36.6, (0 2 -1); 2θ 33.3, I = 24.0, (1 1 -1); 2θ 25.1, I = 23.9, (1 0 -1); 2θ 32.3, I = 14.3, (1 0 -2); 2θ 44.6, I = 14.0, (1 -2 2); 2θ 45.3, I = 14.0, (1 -1 3); 2θ 39.4, I = 13.8, (-1 1 2)

Atomic structure:
Unit cell a=3.898 b=4.767 c=7.384 alpha=106.22 beta=94.42 gamma=101.51
Space group P1 (No. 1)
Symmetry-distinct sites (fractional):
1 Cs 0.000 0.000 0.000 x1
2 Sb 0.445 0.270 0.614 x1
3 Sb 0.581 0.662 0.366 x1
4 N 0.887 0.051 0.573 x1

---

Entry 6:
The following is a simulated powder diffractogram of Pm6PrDy5. It was derived from a DFT-relaxed cell (GGA-PBE, Alexandria), using Cu Kα (λ = 1.5418 Å).
Lines closer than 0.1° are merged.

Peak list (10 most intense, 10 to 90 degrees two-theta, in order of falling intensity)
2θ 30.3, I = 100.0, (1 3 1); 2θ 35.1, I = 33.9, (0 6 0); 2θ 50.6, I = 30.2, (4 6 0); 2θ 60.1, I = 28.8, (1 9 1); 2θ 35.2, I = 16.8, (4 0 0); 2θ 60.2, I = 14.3, (5 3 1); 2θ 63.1, I = 12.4, (2 6 2); 2θ 82.3, I = 8.9, (3 3 3); 2θ 82.4, I = 8.8, (5 9 1); 2θ 84.9, I = 6.9, (0 0 4)

Atomic structure:
Unit cell a=11.394 b=15.323 c=5.111 alpha=90.00 beta=116.57 gamma=90.00
Space group C2/m (No. 12)
Symmetry-distinct sites (fractional):
1 Pm 0.248 0.000 0.247 x4
2 Pm 0.249 0.167 0.749 x8
3 Pr 0.000 0.500 0.000 x2
4 Dy 0.000 0.000 0.500 x2
5 Dy 0.000 0.167 0.000 x4
6 Dy 0.000 0.332 0.500 x4